For Sn2GeS4, a DFT-relaxed cell (PBE, Alexandria) gives the simulated powder X-ray diffraction pattern in this record (Cu Kα, 1.54184 Å).
Kinematic intensities with the Lorentz-polarization factor, no thermal factor.

Atomic structure:
```
Sn2GeS4
1.0
4.814 -3.868 0.000
4.814 3.868 0.000
-3.012 0.000 5.405
Sn Ge S
2 1 4
Direct
0.237 0.763 0.000 Sn
0.763 0.237 0.000 Sn
0.616 0.616 0.512 Ge
0.377 0.377 0.151 S
0.471 0.968 0.485 S
0.647 0.647 0.901 S
0.968 0.471 0.485 S
```

Principal peaks in the range 10° ≤ 2θ ≤ 80°, by intensity:
2θ = 30.28°, intensity 100
2θ = 19.44°, intensity 70
2θ = 33.15°, intensity 41
2θ = 15.56°, intensity 37
2θ = 32.73°, intensity 36
2θ = 21.13°, intensity 35